Calculated XRD peak list of K2RbEuV2O8 for Cu Kα (λ = 1.5418 Å), from a structure optimized by DFT (PBE+U).

Structural model:
Lattice parameters (Å, degrees): 6.1107 6.1107 7.8214 90.00 90.00 120.00
Space group P-3m1 (No. 164)
One atom of each set of equivalent atoms:
K 0.3333 0.6667 0.1953
Rb 0.0000 0.0000 0.5000
Eu 0.0000 0.0000 0.0000
V 0.3333 0.6667 0.7440
O 0.1767 0.3535 0.8218
O 0.3333 0.6667 0.5285

Most intense lines, 2θ from 10° to 80°, sorted by position:
2θ = 16.75°, I 35, (1 0 0); 2θ = 20.26°, I 23, (1 0 1); 2θ = 28.38°, I 100, (0 1 2); 2θ = 29.23°, I 92, (1 1 0); 2θ = 41.19°, I 50, (2 0 2); 2θ = 51.30°, I 35, (1 2 2); 2θ = 51.83°, I 17, (3 0 0); 2θ = 55.82°, I 23, (1 1 4); 2θ = 60.61°, I 16, (2 2 0); 2θ = 68.25°, I 16, (3 1 2)